For Li2CoO4, a PBE+U-relaxed structure gives the calculated XRD peak list in this record (Cu Kα (weighted mean of Kα1 and Kα2)).
Peak positions follow from Bragg's law for the DFT cell and can differ from measured ones.

Structural model:
Cell: 3.766 3.766 10.032 Å, 90.00 90.00 90.00°
Atoms (fractional coordinates):
Li (0.000, 0.000, 0.132)
Li (0.000, 0.000, 0.868)
Li (0.500, 0.500, 0.368)
Li (0.500, 0.500, 0.632)
Co (0.000, 0.000, 0.500)
Co (0.500, 0.500, 0.000)
O (0.000, 0.000, 0.325)
O (0.000, 0.000, 0.675)
O (0.000, 0.500, 0.000)
O (0.000, 0.500, 0.500)
O (0.500, 0.000, 0.000)
O (0.500, 0.000, 0.500)
O (0.500, 0.500, 0.175)
O (0.500, 0.500, 0.825)

Main lines, in order of rising 2θ (2θ from 10° to 80°):
| 2θ (°) | I_rel | (hkl) |
| --- | --- | --- |
| 17.68 | 69 | 0 0 2 |
| 25.26 | 100 | 1 0 1 |
| 33.66 | 24 | 1 1 0 |
| 35.80 | 11 | 0 0 4 |
| 35.91 | 11 | 1 0 3 |
| 48.34 | 28 | 2 0 0 |
| 51.61 | 20 | 1 0 5 |
| 51.87 | 14 | 2 0 2 |
| 55.31 | 19 | 2 1 1 |
| 61.62 | 12 | 2 0 4 |
| 73.40 | 12 | 2 1 5 |
| 76.14 | 9 | 2 0 6 |